[1]
This entry pairs a crystal structure of Ac2TbDyTe5 with its calculated powder diffractogram. Radiation: copper Kα. Structure: a crystal structure in Alexandria, relaxed with GGA-PBE.

Most intense lines, 5 to 70 degrees two-theta, in order of rising 2θ:
two_theta	Rel. int.
7.59	43
22.69	99
28.07	39
30.72	35
32.30	100
32.47	51
45.18	48
46.33	37

Atomic structure:
Unit cell a=5.5425 b=5.5425 c=11.6433 alpha=90.00 beta=90.00 gamma=90.00
Sites, in units of the cell vectors:
Ac (0.0000, 0.0000, 0.2001)
Ac (0.0000, 0.0000, 0.7999)
Tb (0.5000, 0.5000, 0.0000)
Dy (0.5000, 0.5000, 0.5000)
Te (0.0000, 0.0000, 0.5000)
Te (0.0000, 0.5000, 0.0000)
Te (0.5000, 0.0000, 0.0000)
Te (0.5000, 0.5000, 0.2559)
Te (0.5000, 0.5000, 0.7441)


[2]
This entry pairs a crystal structure of AcTbDy2Y5 with its calculated powder diffractogram. Radiation: copper Kα. Structure: a crystal structure in Alexandria, relaxed with GGA-PBE.

Most intense lines, 5 to 70 degrees two-theta, in order of rising 2θ:
two_theta	Rel. int.
21.67	24
27.28	24
29.50	36
31.20	48
32.20	100
33.08	39
44.20	24
54.79	16

Atomic structure:
Unit cell a=12.2482 b=12.2482 c=9.3748 alpha=90.00 beta=90.00 gamma=153.72
Sites, in units of the cell vectors:
Ac (0.1026, 0.8974, 0.5000)
Ac (0.8974, 0.1026, 0.0000)
Tb (0.2604, 0.7396, 0.1086)
Tb (0.7396, 0.2604, 0.6086)
Dy (0.3306, 0.6694, 0.7495)
Dy (0.3865, 0.6135, 0.3535)
Dy (0.6135, 0.3865, 0.8535)
Dy (0.6694, 0.3306, 0.2495)
Y (0.0245, 0.9755, 0.8184)
Y (0.1041, 0.8959, 0.1011)
Y (0.1910, 0.8090, 0.7981)
Y (0.2427, 0.7573, 0.4372)
Y (0.4923, 0.5077, 0.5911)
Y (0.5077, 0.4923, 0.0911)
Y (0.7573, 0.2427, 0.9372)
Y (0.8090, 0.1910, 0.2981)
Y (0.8959, 0.1041, 0.6011)
Y (0.9755, 0.0245, 0.3184)


[3]
This entry pairs a crystal structure of Ac2DyTe5 with its calculated powder diffractogram. Radiation: copper Kα. Structure: a crystal structure in Alexandria, relaxed with GGA-PBE.

Most intense lines, 5 to 70 degrees two-theta, in order of rising 2θ:
two_theta	Rel. int.
26.65	100
27.16	80
30.27	52
30.75	27
37.97	43
38.54	24
38.87	31
45.49	21

Atomic structure:
Unit cell a=6.6925 b=6.6937 c=7.9423 alpha=113.18 beta=113.09 gamma=91.41
Sites, in units of the cell vectors:
Ac (0.0000, 0.0000, 0.0000)
Ac (0.4536, 0.5460, 0.9997)
Dy (0.7325, 0.2777, 0.5417)
Te (0.0762, 0.6212, 0.5953)
Te (0.2683, 0.1667, 0.5198)
Te (0.5392, 0.0854, 0.0822)
Te (0.6218, 0.8139, 0.5199)
Te (0.9620, 0.5083, 0.0200)


[4]
This entry pairs a crystal structure of Ac6DyTe8 with its calculated powder diffractogram. Radiation: copper Kα. Structure: a crystal structure in Alexandria, relaxed with GGA-PBE.

Most intense lines, 5 to 70 degrees two-theta, in order of rising 2θ:
two_theta	Rel. int.
11.52	7
23.17	7
26.81	100
38.28	78
47.36	28
55.26	13
62.46	37
69.22	27

Atomic structure:
Unit cell a=9.4038 b=9.4038 c=9.4038 alpha=60.00 beta=60.00 gamma=60.00
Sites, in units of the cell vectors:
Ac (0.0000, 0.0000, 0.5000)
Ac (0.0000, 0.5000, 0.0000)
Ac (0.0000, 0.5000, 0.5000)
Ac (0.5000, 0.0000, 0.0000)
Ac (0.5000, 0.0000, 0.5000)
Ac (0.5000, 0.5000, 0.0000)
Dy (0.0000, 0.0000, 0.0000)
Te (0.2387, 0.2387, 0.7613)
Te (0.2387, 0.7613, 0.2387)
Te (0.2387, 0.7613, 0.7613)
Te (0.2500, 0.2500, 0.2500)
Te (0.7500, 0.7500, 0.7500)
Te (0.7613, 0.2387, 0.2387)
Te (0.7613, 0.2387, 0.7613)
Te (0.7613, 0.7613, 0.2387)


[5]
This entry pairs a crystal structure of AcDy4Te8 with its calculated powder diffractogram. Radiation: copper Kα. Structure: a crystal structure in Alexandria, relaxed with GGA-PBE.

Most intense lines, 5 to 70 degrees two-theta, in order of rising 2θ:
two_theta	Rel. int.
11.26	24
28.27	100
38.92	41
41.84	35
51.26	19
58.46	12
64.10	18
68.23	16

Atomic structure:
Unit cell a=9.3041 b=9.3041 c=9.3041 alpha=55.31 beta=55.31 gamma=55.31
Sites, in units of the cell vectors:
Ac (0.0000, 0.0000, 0.0000)
Dy (0.0000, 0.0000, 0.5000)
Dy (0.0000, 0.5000, 0.0000)
Dy (0.5000, 0.0000, 0.0000)
Dy (0.5000, 0.5000, 0.5000)
Te (0.2424, 0.2424, 0.2424)
Te (0.2503, 0.7409, 0.7409)
Te (0.2591, 0.2590, 0.7497)
Te (0.2591, 0.7497, 0.2591)
Te (0.7410, 0.2503, 0.7410)
Te (0.7410, 0.7409, 0.2503)
Te (0.7497, 0.2591, 0.2590)
Te (0.7576, 0.7576, 0.7576)


[6]
This entry pairs a crystal structure of AcDy6Th2 with its calculated powder diffractogram. Radiation: copper Kα. Structure: a crystal structure in Alexandria, relaxed with GGA-PBE.

Most intense lines, 5 to 70 degrees two-theta, in order of rising 2θ:
two_theta	Rel. int.
28.55	55
30.14	60
31.60	95
33.21	100
41.99	37
50.57	46
56.54	24
60.00	54

Atomic structure:
Unit cell a=3.6100 b=3.6100 c=26.6894 alpha=90.00 beta=90.00 gamma=120.00
Sites, in units of the cell vectors:
Ac (0.0000, 0.0000, 0.0000)
Dy (0.0000, 0.0000, 0.2224)
Dy (0.0000, 0.0000, 0.4376)
Dy (0.0000, 0.0000, 0.5624)
Dy (0.0000, 0.0000, 0.7776)
Dy (0.3333, 0.6667, 0.1175)
Dy (0.3333, 0.6667, 0.8825)
Th (0.3333, 0.6667, 0.3327)
Th (0.3333, 0.6667, 0.6673)


[7]
This entry pairs a crystal structure of Ac2Dy6Th with its calculated powder diffractogram. Radiation: copper Kα. Structure: a crystal structure in Alexandria, relaxed with GGA-PBE.

Most intense lines, 5 to 70 degrees two-theta, in order of rising 2θ:
two_theta	Rel. int.
28.14	42
29.86	56
31.17	52
32.77	100
41.49	25
49.80	40
55.90	30
59.16	39

Atomic structure:
Unit cell a=3.6619 b=3.6619 c=26.9348 alpha=90.00 beta=90.00 gamma=120.00
Sites, in units of the cell vectors:
Ac (0.0000, 0.0000, 0.1730)
Ac (0.0000, 0.0000, 0.8270)
Dy (0.0000, 0.0000, 0.3936)
Dy (0.0000, 0.0000, 0.6064)
Dy (0.6667, 0.3333, 0.0616)
Dy (0.6667, 0.3333, 0.2901)
Dy (0.6667, 0.3333, 0.7099)
Dy (0.6667, 0.3333, 0.9384)
Th (0.6667, 0.3333, 0.5000)


[8]
This entry pairs a crystal structure of AcDy2Tl4 with its calculated powder diffractogram. Radiation: copper Kα. Structure: a crystal structure in Alexandria, relaxed with GGA-PBE.

Most intense lines, 5 to 70 degrees two-theta, in order of rising 2θ:
two_theta	Rel. int.
26.10	15
32.81	100
33.45	52
48.03	19
48.57	9
58.17	15
59.39	38
68.79	9

Atomic structure:
Unit cell a=5.3575 b=5.3575 c=7.8714 alpha=90.00 beta=90.00 gamma=90.00
Sites, in units of the cell vectors:
Ac (0.0000, 0.0000, 0.0000)
Dy (0.0000, 0.0000, 0.5000)
Dy (0.5000, 0.5000, 0.0000)
Tl (0.0000, 0.5000, 0.2812)
Tl (0.0000, 0.5000, 0.7188)
Tl (0.5000, 0.0000, 0.2812)
Tl (0.5000, 0.0000, 0.7188)


[9]
This entry pairs a crystal structure of AcDy5Tl3 with its calculated powder diffractogram. Radiation: copper Kα. Structure: a crystal structure in Alexandria, relaxed with GGA-PBE.

Most intense lines, 5 to 70 degrees two-theta, in order of rising 2θ:
two_theta	Rel. int.
32.15	93
32.65	100
42.16	11
46.48	34
57.95	35
58.26	19
63.95	30
68.41	12

Atomic structure:
Unit cell a=9.5017 b=9.5017 c=6.8705 alpha=90.00 beta=90.00 gamma=120.00
Sites, in units of the cell vectors:
Ac (0.0000, 0.0000, 0.0000)
Ac (0.0000, 0.0000, 0.5000)
Dy (0.0000, 0.3340, 0.2500)
Dy (0.0000, 0.6660, 0.7500)
Dy (0.3333, 0.6667, 0.0000)
Dy (0.3333, 0.6667, 0.5000)
Dy (0.3340, 0.0000, 0.2500)
Dy (0.3340, 0.3340, 0.7500)
Dy (0.6660, 0.0000, 0.7500)
Dy (0.6660, 0.6660, 0.2500)
Dy (0.6667, 0.3333, 0.0000)
Dy (0.6667, 0.3333, 0.5000)
Tl (0.0000, 0.3419, 0.7500)
Tl (0.0000, 0.6581, 0.2500)
Tl (0.3419, 0.0000, 0.7500)
Tl (0.3419, 0.3419, 0.2500)
Tl (0.6581, 0.0000, 0.2500)
Tl (0.6581, 0.6581, 0.7500)


[10]
This entry pairs a crystal structure of AcDy7Tl4 with its calculated powder diffractogram. Radiation: copper Kα. Structure: a crystal structure in Alexandria, relaxed with GGA-PBE.

Most intense lines, 5 to 70 degrees two-theta, in order of rising 2θ:
two_theta	Rel. int.
28.52	43
29.46	37
30.32	100
30.73	16
32.75	34
35.81	47
36.00	19
42.12	30

Atomic structure:
Unit cell a=7.8549 b=7.8549 c=10.4434 alpha=120.61 beta=120.61 gamma=44.06
Sites, in units of the cell vectors:
Ac (0.0000, 0.0000, 0.0000)
Dy (0.0616, 0.0616, 0.3967)
Dy (0.2105, 0.2105, 0.8788)
Dy (0.2806, 0.2806, 0.3464)
Dy (0.5000, 0.5000, 0.0000)
Dy (0.7194, 0.7194, 0.6536)
Dy (0.7895, 0.7895, 0.1212)
Dy (0.9384, 0.9384, 0.6033)
Tl (0.3111, 0.3111, 0.6677)
Tl (0.4394, 0.4394, 0.2475)
Tl (0.5606, 0.5606, 0.7525)
Tl (0.6889, 0.6889, 0.3323)


[11]
This entry pairs a crystal structure of AcDy4Tm6 with its calculated powder diffractogram. Radiation: copper Kα. Structure: a crystal structure in Alexandria, relaxed with GGA-PBE.

Most intense lines, 5 to 70 degrees two-theta, in order of rising 2θ:
two_theta	Rel. int.
30.61	99
31.52	51
31.68	100
33.58	39
44.54	25
55.77	25
56.23	20
60.53	20

Atomic structure:
Unit cell a=5.6493 b=5.6493 c=25.4565 alpha=90.00 beta=90.00 gamma=119.68
Sites, in units of the cell vectors:
Ac (0.1711, 0.8289, 0.7500)
Ac (0.8289, 0.1711, 0.2500)
Dy (0.1652, 0.8348, 0.0413)
Dy (0.1652, 0.8348, 0.4587)
Dy (0.4944, 0.5056, 0.1222)
Dy (0.4944, 0.5056, 0.3778)
Dy (0.5056, 0.4944, 0.6222)
Dy (0.5056, 0.4944, 0.8778)
Dy (0.8348, 0.1652, 0.5413)
Dy (0.8348, 0.1652, 0.9587)
Tm (0.1618, 0.8382, 0.1794)
Tm (0.1618, 0.8382, 0.3206)
Tm (0.1710, 0.8290, 0.5993)
Tm (0.1710, 0.8290, 0.9007)
Tm (0.4950, 0.5050, 0.2500)
Tm (0.5000, 0.5000, 0.0000)
Tm (0.5000, 0.5000, 0.5000)
Tm (0.5050, 0.4950, 0.7500)
Tm (0.8290, 0.1710, 0.0993)
Tm (0.8290, 0.1710, 0.4007)
Tm (0.8382, 0.1618, 0.6794)
Tm (0.8382, 0.1618, 0.8206)


[12]
This entry pairs a crystal structure of AcDy8Tm3 with its calculated powder diffractogram. Radiation: copper Kα. Structure: a crystal structure in Alexandria, relaxed with GGA-PBE.

Most intense lines, 5 to 70 degrees two-theta, in order of rising 2θ:
two_theta	Rel. int.
15.93	12
22.31	14
31.39	100
32.21	41
35.90	27
51.82	15
55.98	12
65.57	14

Atomic structure:
Unit cell a=8.7082 b=8.7082 c=8.7082 alpha=137.19 beta=98.05 gamma=97.26
Sites, in units of the cell vectors:
Ac (0.0000, 0.0000, 0.0000)
Dy (0.0810, 0.8278, 0.2532)
Dy (0.2688, 0.0285, 0.7597)
Dy (0.2688, 0.5090, 0.2403)
Dy (0.4254, 0.1722, 0.2532)
Dy (0.5746, 0.8278, 0.7468)
Dy (0.7312, 0.4910, 0.7597)
Dy (0.7312, 0.9715, 0.2403)
Dy (0.9190, 0.1722, 0.7468)
Tm (0.2721, 0.5000, 0.7721)
Tm (0.5000, 0.0000, 0.5000)
Tm (0.7279, 0.5000, 0.2279)


[13]
This entry pairs a crystal structure of AcDy3Tm7 with its calculated powder diffractogram. Radiation: copper Kα. Structure: a crystal structure in Alexandria, relaxed with GGA-PBE.

Most intense lines, 5 to 70 degrees two-theta, in order of rising 2θ:
two_theta	Rel. int.
31.31	28
31.59	100
32.13	30
32.26	58
32.39	69
32.83	23
33.13	72
63.29	17

Atomic structure:
Unit cell a=6.9450 b=5.5289 c=9.8019 alpha=90.00 beta=108.39 gamma=90.00
Sites, in units of the cell vectors:
Ac (0.0000, 0.0000, 0.0000)
Dy (0.2751, 0.5000, 0.4914)
Dy (0.5000, 0.0000, 0.0000)
Dy (0.7249, 0.5000, 0.5086)
Tm (0.0000, 0.0000, 0.5000)
Tm (0.1498, 0.5000, 0.7884)
Tm (0.3311, 0.5000, 0.1447)
Tm (0.4383, 0.0000, 0.3331)
Tm (0.5617, 0.0000, 0.6669)
Tm (0.6689, 0.5000, 0.8553)
Tm (0.8502, 0.5000, 0.2116)